# Ba3In2Ag4
Theoretical X-ray powder pattern, Cu Kα (λ = 1.5418 Å). Input: DFT lattice parameters and positions (GGA-PBE).

```
Ba3In2Ag4
1.0
6.1355 -2.5371 0.0000
6.1355 2.5371 0.0000
-3.3495 0.0000 9.0731
Ba In Ag
3 2 4
Direct
0.0000 0.0000 0.0000
0.3614 0.3614 0.3108
0.6386 0.6386 0.6892
0.3403 0.3403 0.6729
0.6597 0.6597 0.3271
0.0976 0.0976 0.4210
0.2742 0.2742 0.9351
0.7258 0.7258 0.0649
0.9024 0.9024 0.5790
```

Largest 10 diffraction maxima, sorted by position, 2θ from 10° to 90°:
- 2θ 28.08, I = 26
- 2θ 29.16, I = 100
- 2θ 29.38, I = 75
- 2θ 29.54, I = 38
- 2θ 35.38, I = 63
- 2θ 35.50, I = 99
- 2θ 35.85, I = 24
- 2θ 46.44, I = 22
- 2θ 55.47, I = 26
- 2θ 63.59, I = 29